Diffraction record for Th8Te4Os3N. The powder XRD pattern is computed, not measured: it uses a PBE-relaxed structure and copper Kα.

Main lines, sorted by position (15° ≤ 2θ ≤ 90°):
index	2θ (°)	d (Å)	I (rel.)
4 0 0	29.42	3.036	100
2 2 -3	37.22	2.416	13
2 2 2	40.32	2.237	29
6 2 -2	43.73	2.070	26
0 4 0	43.91	2.062	13
4 4 0	53.69	1.707	13

Unit cell a=14.358 b=8.249 c=9.011 alpha=90.00 beta=122.03 gamma=90.00
Space group C2/m (No. 12)
Inequivalent atoms, fractional coordinates:
Th (0.016, 0.243, 0.305)
Th (0.231, 0.000, 0.698)
Th (0.234, 0.500, 0.700)
Te (0.000, 0.000, 0.000)
Te (0.000, 0.500, 0.000)
Te (0.250, 0.250, 0.000)
Os (0.000, 0.500, 0.500)
Os (0.250, 0.250, 0.500)
N (0.000, 0.000, 0.500)

Diffraction record for Zr4OsN. The powder XRD pattern is computed, not measured: it uses a PBE-relaxed structure and copper Kα.

Main lines, sorted by position (15° ≤ 2θ ≤ 90°):
index	2θ (°)	d (Å)	I (rel.)
0 2 1	32.99	2.715	60
1 1 -2	33.48	2.677	86
2 1 0	34.01	2.636	59
1 0 2	34.43	2.605	100
2 1 -1	34.91	2.570	100
1 1 -3	45.97	1.974	53

Unit cell a=5.944 b=6.017 c=6.392 alpha=90.00 beta=99.41 gamma=90.00
Space group P2_1/c (No. 14)
Inequivalent atoms, fractional coordinates:
Zr (0.112, 0.165, 0.185)
Zr (0.335, 0.635, 0.116)
Os (0.500, 0.000, 0.000)
N (0.000, 0.000, 0.500)

Diffraction record for P3N. The powder XRD pattern is computed, not measured: it uses a PBE-relaxed structure and copper Kα.

Main lines, sorted by position (15° ≤ 2θ ≤ 90°):
index	2θ (°)	d (Å)	I (rel.)
0 1 0	21.60	4.115	26
0 1 -1	28.00	3.187	100
0 1 1	31.14	2.872	25
1 0 -1	33.88	2.646	23
1 0 1	35.62	2.520	47
-1 1 1	36.19	2.482	48

Unit cell a=3.365 b=4.382 c=4.461 alpha=95.29 beta=91.03 gamma=109.24
Space group P1 (No. 1)
Inequivalent atoms, fractional coordinates:
P (0.000, 0.000, 0.000)
P (0.076, 0.411, 0.637)
P (0.548, 0.388, 0.299)
N (0.233, 0.782, 0.803)